The following is a simulated powder XRD pattern of LiPr4Ag3. It was derived from a crystal structure in Alexandria, relaxed with PBE, using CuKα.

Crystal structure
```
8
Lattice="2.683 1.549 8.764 -2.683 1.549 8.764 0.000 -3.098 8.764" Properties=species:S:1:pos:R:3 pbc="T T T"
Li 0.000 0.000 0.000
Pr 0.000 0.000 3.356
Pr 0.000 0.000 9.936
Pr 0.000 0.000 16.357
Pr 0.000 0.000 22.937
Ag 0.000 0.000 6.740
Ag 0.000 0.000 13.146
Ag 0.000 0.000 19.553
```

Top 12 peaks for 15 to 90 degrees two-theta, most intense first:
2θ 33.40, intensity 100; 2θ 59.69, intensity 35; 2θ 47.95, intensity 18; 2θ 79.96, intensity 14; 2θ 70.15, intensity 11; 2θ 23.45, intensity 8; 2θ 89.47, intensity 4; 2θ 19.40, intensity 4; 2θ 54.04, intensity 4; 2θ 20.27, intensity 3; 2θ 45.93, intensity 3; 2θ 41.21, intensity 2

The following is a simulated powder XRD pattern of Li17Pr2Ag3. It was derived from a crystal structure in Alexandria, relaxed with PBE, using CuKα.

Crystal structure
```
22
Lattice="5.252 3.032 5.011 -5.252 3.032 5.011 0.000 -6.064 5.011" Properties=species:S:1:pos:R:3 pbc="T T T"
Li -5.252 0.000 7.516
Li -1.368 -3.694 5.011
Li -2.626 1.516 2.505
Li -3.884 0.662 5.011
Li 0.000 0.000 1.455
Li -2.470 -1.426 7.632
Li 1.368 -3.694 5.011
Li -2.515 3.032 5.011
Li 0.000 -2.852 7.400
Li -2.470 1.426 7.400
Li 2.626 1.516 2.505
Li 2.470 -1.426 7.632
Li 0.000 2.852 7.632
Li 3.884 0.662 5.011
Li 2.515 3.032 5.011
Li 2.470 1.426 7.400
Li 0.000 0.000 13.578
Pr 0.000 0.000 4.941
Pr 0.000 0.000 10.092
Ag -2.626 -1.516 5.011
Ag -2.626 1.516 10.022
Ag 0.000 3.032 5.011
```

Top 12 peaks for 15 to 90 degrees two-theta, most intense first:
2θ 17.70, intensity 100; 2θ 15.29, intensity 73; 2θ 38.71, intensity 73; 2θ 34.14, intensity 72; 2θ 50.34, intensity 45; 2θ 28.55, intensity 40; 2θ 26.60, intensity 37; 2θ 35.84, intensity 25; 2θ 20.40, intensity 24; 2θ 39.84, intensity 23; 2θ 24.55, intensity 22; 2θ 16.88, intensity 21